(1)
Y2BeAlBO7: simulated powder XRD pattern (Cu Kα (weighted mean of Kα1 and Kα2)), based on a PBE-relaxed structure.
Neutral-atom scattering factors, no anomalous dispersion.

Cell and atoms:
abc: 4.7549 7.3788 7.3861
angles: 90.00 90.26 90.00
Fractional coordinates of all 24 atoms:
Y  0.0062  0.0000  0.0957
Y  0.0084  0.3272  0.4225
Y  0.9916  0.8272  0.5775
Y  0.9938  0.5000  0.9043
Be  0.4450  0.5294  0.6142
Be  0.5550  0.0294  0.3858
Al  0.5003  0.1629  0.7523
Al  0.4997  0.6629  0.2477
B  0.4357  0.8010  0.8862
B  0.5643  0.3010  0.1138
O  0.2210  0.0249  0.3862
O  0.2585  0.3064  0.1048
O  0.2783  0.3378  0.6792
O  0.2805  0.5877  0.4218
O  0.2926  0.7463  0.0644
O  0.2954  0.9806  0.8376
O  0.3197  0.6738  0.7551
O  0.6803  0.1738  0.2449
O  0.7046  0.4806  0.1624
O  0.7074  0.2463  0.9356
O  0.7195  0.0877  0.5782
O  0.7217  0.8378  0.3208
O  0.7415  0.8064  0.8952
O  0.7790  0.5249  0.6138

Top 10 peaks for 2θ from 10° to 90°, low angle first:
18.66 deg, I 613; 25.34 deg, I 462; 27.01 deg, I 541; 30.65 deg, I 522; 32.98 deg, I 1000; 33.08 deg, I 918; 38.57 deg, I 300; 47.03 deg, I 425; 47.18 deg, I 396; 51.01 deg, I 286

(2)
Al8BC5: simulated powder XRD pattern (Cu Kα (weighted mean of Kα1 and Kα2)), based on a PBE-relaxed structure.
Neutral-atom scattering factors, no anomalous dispersion.

Cell and atoms:
abc: 16.9438 16.9438 16.9438
angles: 11.48 11.48 11.48
Fractional coordinates of all 14 atoms:
Al  0.0644  0.0644  0.0644
Al  0.1468  0.1468  0.1468
Al  0.3538  0.3538  0.3538
Al  0.4350  0.4350  0.4350
Al  0.5650  0.5650  0.5650
Al  0.6462  0.6462  0.6462
Al  0.8532  0.8532  0.8532
Al  0.9356  0.9356  0.9356
B  0.0000  0.0000  0.0000
C  0.1086  0.1086  0.1086
C  0.3926  0.3926  0.3926
C  0.5000  0.5000  0.5000
C  0.6074  0.6074  0.6074
C  0.8914  0.8914  0.8914

Top 10 peaks for 2θ from 10° to 90°, low angle first:
30.67 deg, I 399; 31.30 deg, I 970; 35.38 deg, I 635; 39.59 deg, I 1000; 42.99 deg, I 458; 47.51 deg, I 220; 54.13 deg, I 966; 60.24 deg, I 300; 69.12 deg, I 201; 71.50 deg, I 577

(3)
CaAlBO4: simulated powder XRD pattern (Cu Kα (weighted mean of Kα1 and Kα2)), based on a PBE-relaxed structure.
Neutral-atom scattering factors, no anomalous dispersion.

Cell and atoms:
abc: 8.7599 8.7599 5.8049
angles: 90.00 90.00 123.00
Fractional coordinates of all 28 atoms:
Ca  0.0494  0.2358  0.0000
Ca  0.2358  0.0494  0.5000
Ca  0.7642  0.9506  0.5000
Ca  0.9506  0.7642  0.0000
Al  0.2853  0.6963  0.2664
Al  0.3037  0.7147  0.7664
Al  0.6963  0.2853  0.7664
Al  0.7147  0.3037  0.2664
B  0.1537  0.3735  0.5252
B  0.3735  0.1537  0.0252
B  0.6265  0.8463  0.0252
B  0.8463  0.6265  0.5252
O  0.0735  0.1893  0.5465
O  0.1810  0.4555  0.3101
O  0.1893  0.0735  0.0465
O  0.2020  0.7349  0.0142
O  0.2090  0.4769  0.7263
O  0.2651  0.7980  0.5142
O  0.4555  0.1810  0.8101
O  0.4769  0.2090  0.2263
O  0.5231  0.7910  0.2263
O  0.5445  0.8190  0.8101
O  0.7349  0.2020  0.5142
O  0.7910  0.5231  0.7263
O  0.7980  0.2651  0.0142
O  0.8107  0.9265  0.0465
O  0.8190  0.5445  0.3101
O  0.9265  0.8107  0.5465

Top 10 peaks for 2θ from 10° to 90°, low angle first:
12.05 deg, I 632; 20.30 deg, I 691; 23.11 deg, I 482; 24.23 deg, I 871; 28.76 deg, I 842; 31.60 deg, I 770; 33.19 deg, I 1000; 45.49 deg, I 483; 47.28 deg, I 411; 54.52 deg, I 583